[1]
Diffraction record for FeP3O11. The powder diffraction line list is calculated, not measured: it uses the GGA+U geometry in Alexandria and Cu Kα (λ = 1.5418 Å).

Principal peaks in the range 2θ from 15° to 90°, by angle:
2θ (°)	Rel. int.
15.2	100
18.3	48
20.0	30
20.7	85
22.0	49
27.3	28
30.2	59
30.7	60
30.8	32
48.2	30

Crystal structure
abc: 7.3560 7.3560 9.4082
angles: 106.47 106.47 65.31
Fractional coordinates of all 30 atoms:
Fe1 0.0000 0.5000 0.0000
Fe2 0.5000 0.0000 0.5000
P1 0.0905 0.2372 0.2810
P2 0.1899 0.8101 0.2500
P3 0.2372 0.0905 0.7810
P4 0.7628 0.9095 0.2190
P5 0.8101 0.1899 0.7500
P6 0.9095 0.7628 0.7190
O1 0.0096 0.1349 0.6807
O2 0.0420 0.3783 0.1778
O3 0.1036 0.7185 0.6438
O4 0.1349 0.0096 0.1807
O5 0.2037 0.6332 0.1203
O6 0.2327 0.2563 0.9192
O7 0.2563 0.2327 0.4192
O8 0.2815 0.8964 0.8562
O9 0.2983 0.7017 0.7500
O10 0.3668 0.7963 0.3797
O11 0.3783 0.0420 0.6778
O12 0.6217 0.9580 0.3222
O13 0.6332 0.2037 0.6203
O14 0.7017 0.2983 0.2500
O15 0.7185 0.1036 0.1438
O16 0.7437 0.7673 0.5808
O17 0.7673 0.7437 0.0808
O18 0.7963 0.3668 0.8797
O19 0.8651 0.9904 0.8193
O20 0.8964 0.2815 0.3562
O21 0.9580 0.6217 0.8222
O22 0.9904 0.8651 0.3193

***

[2]
Diffraction record for FeP2O7. The powder diffraction line list is calculated, not measured: it uses the GGA+U geometry in Alexandria and Cu Kα (λ = 1.5418 Å).

Principal peaks in the range 2θ from 15° to 90°, by angle:
2θ (°)	Rel. int.
17.5	82
22.1	70
24.1	33
28.6	100
29.8	67
30.0	75
35.4	21
43.1	26
43.4	24
49.3	21

Crystal structure
abc: 5.2372 5.2372 4.6205
angles: 98.09 98.09 100.30
Fractional coordinates of all 10 atoms:
Fe1 0.0000 0.0000 0.0000
P1 0.4497 0.1575 0.5898
P2 0.8425 0.5503 0.4102
O1 0.0237 0.6931 0.6980
O2 0.2639 0.2183 0.8063
O3 0.3069 0.9763 0.3020
O4 0.5622 0.4378 0.5000
O5 0.6809 0.0515 0.7316
O6 0.7817 0.7361 0.1937
O7 0.9485 0.3191 0.2684

***

[3]
Diffraction record for FeP2O7. The powder diffraction line list is calculated, not measured: it uses the GGA+U geometry in Alexandria and Cu Kα (λ = 1.5418 Å).

Principal peaks in the range 2θ from 15° to 90°, by angle:
2θ (°)	Rel. int.
18.4	100
20.1	47
22.3	22
27.0	50
28.2	54
31.2	33
33.1	13
33.4	14
45.6	10
54.1	14

Crystal structure
abc: 5.5798 5.5798 9.1043
angles: 94.23 94.23 105.17
Fractional coordinates of all 20 atoms:
Fe1 0.1706 0.8294 0.5000
Fe2 0.8294 0.1706 0.0000
P1 0.2669 0.3181 0.3058
P2 0.3181 0.2669 0.8058
P3 0.6704 0.7325 0.6953
P4 0.7325 0.6704 0.1953
O1 0.0604 0.2083 0.1810
O2 0.1105 0.3340 0.8855
O3 0.2048 0.5130 0.4106
O4 0.2083 0.0604 0.6810
O5 0.3340 0.1105 0.3855
O6 0.4450 0.5032 0.7246
O7 0.5032 0.4450 0.2246
O8 0.5130 0.2048 0.9106
O9 0.5414 0.8756 0.5906
O10 0.6347 0.8624 0.1154
O11 0.7773 0.8792 0.8429
O12 0.8624 0.6347 0.6153
O13 0.8756 0.5414 0.0906
O14 0.8792 0.7773 0.3429

***

[4]
Diffraction record for FePO4. The powder diffraction line list is calculated, not measured: it uses the GGA+U geometry in Alexandria and Cu Kα (λ = 1.5418 Å).

Principal peaks in the range 2θ from 15° to 90°, by angle:
2θ (°)	Rel. int.
16.3	79
19.0	80
19.7	40
20.3	100
22.4	60
23.7	72
28.3	22
31.6	34
34.8	23
35.3	31

Crystal structure
abc: 8.9976 9.3639 10.0369
angles: 90.00 90.00 90.00
Fractional coordinates of all 48 atoms:
Fe1 0.0621 0.2091 0.1088
Fe2 0.0621 0.2909 0.6088
Fe3 0.4379 0.7091 0.1088
Fe4 0.4379 0.7909 0.6088
Fe5 0.5621 0.2091 0.3912
Fe6 0.5621 0.2909 0.8912
Fe7 0.9379 0.7091 0.3912
Fe8 0.9379 0.7909 0.8912
P1 0.1210 0.6276 0.6653
P2 0.1210 0.8724 0.1653
P3 0.3790 0.1276 0.6653
P4 0.3790 0.3724 0.1653
P5 0.6210 0.6276 0.8347
P6 0.6210 0.8724 0.3347
P7 0.8790 0.1276 0.8347
P8 0.8790 0.3724 0.3347
O1 0.0035 0.1733 0.9322
O2 0.0035 0.3267 0.4322
O3 0.0981 0.7055 0.7995
O4 0.0981 0.7945 0.2995
O5 0.1144 0.0351 0.1897
O6 0.1144 0.4649 0.6897
O7 0.2252 0.1657 0.6075
O8 0.2252 0.3343 0.1075
O9 0.2748 0.6657 0.6075
O10 0.2748 0.8343 0.1075
O11 0.3856 0.5351 0.1897
O12 0.3856 0.9649 0.6897
O13 0.4019 0.2055 0.7995
O14 0.4019 0.2945 0.2995
O15 0.4965 0.6733 0.9322
O16 0.4965 0.8267 0.4322
O17 0.5035 0.1733 0.5678
O18 0.5035 0.3267 0.0678
O19 0.5981 0.7055 0.7005
O20 0.5981 0.7945 0.2005
O21 0.6144 0.0351 0.3103
O22 0.6144 0.4649 0.8103
O23 0.7252 0.1657 0.8925
O24 0.7252 0.3343 0.3925
O25 0.7748 0.6657 0.8925
O26 0.7748 0.8343 0.3925
O27 0.8856 0.5351 0.3103
O28 0.8856 0.9649 0.8103
O29 0.9019 0.2055 0.7005
O30 0.9019 0.2945 0.2005
O31 0.9965 0.6733 0.5678
O32 0.9965 0.8267 0.0678

***

[5]
Diffraction record for Fe3P2O8. The powder diffraction line list is calculated, not measured: it uses the GGA+U geometry in Alexandria and Cu Kα (λ = 1.5418 Å).

Principal peaks in the range 2θ from 15° to 90°, by angle:
2θ (°)	Rel. int.
22.3	55
24.9	100
29.2	29
31.4	67
34.6	73
35.6	43
35.7	26
50.9	23
51.0	38
60.5	23

Crystal structure
abc: 6.1237 4.8642 10.5680
angles: 90.00 90.40 90.00
Fractional coordinates of all 26 atoms:
Fe1 0.0000 0.0000 0.0000
Fe2 0.0000 0.5000 0.5000
Fe3 0.2643 0.0151 0.7175
Fe4 0.2643 0.4849 0.2175
Fe5 0.7357 0.5151 0.7825
Fe6 0.7357 0.9849 0.2825
P1 0.2372 0.5666 0.8990
P2 0.2372 0.9334 0.3990
P3 0.7628 0.0666 0.6010
P4 0.7628 0.4334 0.1010
O1 0.0293 0.7134 0.8379
O2 0.0293 0.7866 0.3379
O3 0.2196 0.2503 0.3950
O4 0.2196 0.2497 0.8950
O5 0.2458 0.6802 0.0360
O6 0.2458 0.8198 0.5360
O7 0.4278 0.6739 0.8168
O8 0.4278 0.8261 0.3168
O9 0.5722 0.1739 0.6832
O10 0.5722 0.3261 0.1832
O11 0.7542 0.1802 0.4640
O12 0.7542 0.3198 0.9640
O13 0.7804 0.7503 0.1050
O14 0.7804 0.7497 0.6050
O15 0.9707 0.2134 0.6621
O16 0.9707 0.2866 0.1621

***

[6]
Diffraction record for Fe5P3O13. The powder diffraction line list is calculated, not measured: it uses the GGA+U geometry in Alexandria and Cu Kα (λ = 1.5418 Å).

Principal peaks in the range 2θ from 15° to 90°, by angle:
2θ (°)	Rel. int.
27.0	64
28.1	72
28.3	52
28.9	81
29.9	61
31.5	67
31.9	65
32.0	50
33.7	100
35.9	70

Crystal structure
abc: 8.5493 6.2970 9.9517
angles: 90.00 95.16 90.00
Fractional coordinates of all 42 atoms:
Fe1 0.0856 0.2500 0.1205
Fe2 0.2724 0.2500 0.5654
Fe3 0.3478 0.2500 0.9175
Fe4 0.3903 0.0026 0.2360
Fe5 0.3903 0.4974 0.2360
Fe6 0.6097 0.5026 0.7640
Fe7 0.6097 0.9974 0.7640
Fe8 0.6522 0.7500 0.0825
Fe9 0.7276 0.7500 0.4346
Fe10 0.9144 0.7500 0.8795
P1 0.0163 0.7500 0.2135
P2 0.3180 0.7500 0.9164
P3 0.3848 0.7500 0.5135
P4 0.6152 0.2500 0.4865
P5 0.6820 0.2500 0.0836
P6 0.9837 0.2500 0.7865
O1 0.0813 0.2500 0.6674
O2 0.0974 0.2500 0.9204
O3 0.1220 0.5451 0.2102
O4 0.1220 0.9549 0.2102
O5 0.1382 0.7500 0.9016
O6 0.2861 0.5515 0.5218
O7 0.2861 0.9485 0.5218
O8 0.3113 0.2500 0.1184
O9 0.3795 0.5481 0.8481
O10 0.3795 0.9519 0.8481
O11 0.3839 0.7500 0.0692
O12 0.4567 0.7500 0.3672
O13 0.4648 0.2500 0.3837
O14 0.5352 0.7500 0.6163
O15 0.5433 0.2500 0.6328
O16 0.6161 0.2500 0.9308
O17 0.6205 0.0481 0.1519
O18 0.6205 0.4519 0.1519
O19 0.6887 0.7500 0.8816
O20 0.7139 0.0515 0.4782
O21 0.7139 0.4485 0.4782
O22 0.8618 0.2500 0.0984
O23 0.8780 0.0451 0.7898
O24 0.8780 0.4549 0.7898
O25 0.9026 0.7500 0.0796
O26 0.9187 0.7500 0.3326

***

[7]
Diffraction record for Fe3P4O16. The powder diffraction line list is calculated, not measured: it uses the GGA+U geometry in Alexandria and Cu Kα (λ = 1.5418 Å).

Principal peaks in the range 2θ from 15° to 90°, by angle:
2θ (°)	Rel. int.
19.4	37
20.5	87
22.1	58
22.6	37
23.1	49
24.2	74
24.7	100
26.1	60
28.8	58
30.1	34

Crystal structure
abc: 8.3382 5.2288 16.1887
angles: 90.00 112.43 90.00
Fractional coordinates of all 46 atoms:
Fe1 0.0000 0.0000 0.0000
Fe2 0.0000 0.5000 0.5000
Fe3 0.3344 0.1580 0.3057
Fe4 0.3344 0.3420 0.8057
Fe5 0.6656 0.6580 0.1943
Fe6 0.6656 0.8420 0.6943
P1 0.0159 0.5010 0.1431
P2 0.0159 0.9990 0.6431
P3 0.4245 0.1286 0.1195
P4 0.4245 0.3714 0.6195
P5 0.5755 0.6286 0.3805
P6 0.5755 0.8714 0.8805
P7 0.9841 0.0010 0.3569
P8 0.9841 0.4990 0.8569
O1 0.0335 0.7181 0.9256
O2 0.0335 0.7819 0.4256
O3 0.0511 0.7484 0.1020
O4 0.0511 0.7516 0.6020
O5 0.1342 0.0303 0.3245
O6 0.1342 0.4697 0.8245
O7 0.1813 0.0725 0.7238
O8 0.1813 0.4275 0.2238
O9 0.2487 0.1137 0.0404
O10 0.2487 0.3863 0.5404
O11 0.4004 0.0718 0.2078
O12 0.4004 0.4282 0.7078
O13 0.4553 0.0825 0.8924
O14 0.4553 0.4175 0.3924
O15 0.4893 0.6113 0.8799
O16 0.4893 0.8887 0.3799
O17 0.5107 0.1113 0.6201
O18 0.5107 0.3887 0.1201
O19 0.5447 0.5825 0.6076
O20 0.5447 0.9175 0.1076
O21 0.5996 0.5718 0.2922
O22 0.5996 0.9282 0.7922
O23 0.7513 0.6137 0.4596
O24 0.7513 0.8863 0.9596
O25 0.8187 0.5725 0.7762
O26 0.8187 0.9275 0.2762
O27 0.8658 0.5303 0.1755
O28 0.8658 0.9697 0.6755
O29 0.9489 0.2484 0.3980
O30 0.9489 0.2516 0.8980
O31 0.9665 0.2181 0.5744
O32 0.9665 0.2819 0.0744

***

[8]
Diffraction record for FeP3O9. The powder diffraction line list is calculated, not measured: it uses the GGA+U geometry in Alexandria and Cu Kα (λ = 1.5418 Å).

Principal peaks in the range 2θ from 15° to 90°, by angle:
2θ (°)	Rel. int.
17.9	22
23.1	100
23.2	76
23.3	23
25.4	35
25.5	29
31.3	15
32.8	26
33.0	39
33.2	28

Crystal structure
abc: 8.5203 8.5915 8.6524
angles: 90.00 90.00 90.00
Fractional coordinates of all 52 atoms:
Fe1 0.1323 0.1424 0.1482
Fe2 0.3677 0.8576 0.6482
Fe3 0.6323 0.3576 0.8518
Fe4 0.8677 0.6424 0.3518
P1 0.0349 0.6773 0.6906
P2 0.1818 0.5140 0.1877
P3 0.2011 0.1924 0.5501
P4 0.2989 0.8076 0.0501
P5 0.3182 0.4860 0.6877
P6 0.4651 0.3227 0.1906
P7 0.5349 0.8227 0.3094
P8 0.6818 0.9860 0.8123
P9 0.7011 0.3076 0.4499
P10 0.7989 0.6924 0.9499
P11 0.8182 0.0140 0.3123
P12 0.9651 0.1773 0.8094
O1 0.0418 0.2204 0.6464
O2 0.0905 0.1236 0.9187
O3 0.0993 0.5963 0.3182
O4 0.1022 0.3748 0.1181
O5 0.1366 0.8112 0.6407
O6 0.1442 0.5328 0.7444
O7 0.1537 0.1615 0.3865
O8 0.1920 0.9170 0.1350
O9 0.2217 0.6361 0.0525
O10 0.2783 0.3639 0.5525
O11 0.3080 0.0830 0.6350
O12 0.3463 0.8385 0.8865
O13 0.3558 0.4672 0.2444
O14 0.3634 0.1888 0.1407
O15 0.3978 0.6252 0.6181
O16 0.4007 0.4037 0.8182
O17 0.4095 0.8764 0.4187
O18 0.4582 0.7796 0.1464
O19 0.5418 0.2796 0.3536
O20 0.5905 0.3764 0.0813
O21 0.5993 0.9037 0.6818
O22 0.6022 0.1252 0.8819
O23 0.6366 0.6888 0.3593
O24 0.6442 0.9672 0.2556
O25 0.6537 0.3385 0.6135
O26 0.6920 0.5830 0.8650
O27 0.7217 0.8639 0.9475
O28 0.7783 0.1361 0.4475
O29 0.8080 0.4170 0.3650
O30 0.8463 0.6615 0.1135
O31 0.8558 0.0328 0.7556
O32 0.8634 0.3112 0.8593
O33 0.8978 0.8748 0.3819
O34 0.9007 0.0963 0.1818
O35 0.9095 0.6236 0.5813
O36 0.9582 0.7204 0.8536